Starting from DFT lattice parameters and positions (GGA-PBE), the powder X-ray diffraction pattern of Mn5RuW was calculated for a wavelength of 1.5418 Å.
Intensities are scaled so that the largest is 100.

The 6 most intense peaks (15° ≤ 2θ ≤ 90°), in order of rising 2θ:
- hkl 0 1 3, 2.658 Å, 2θ 33.72, rel. 16.0
- hkl 1 0 4, 2.326 Å, 2θ 38.71, rel. 35.3
- hkl 0 2 0, 2.304 Å, 2θ 39.09, rel. 20.9
- hkl 3 1 1, 2.188 Å, 2θ 41.26, rel. 100.0
- hkl 4 1 5, 1.315 Å, 2θ 71.79, rel. 16.2
- hkl 3 3 1, 1.307 Å, 2θ 72.30, rel. 17.3

Structural model:
abc: 7.7133 4.6083 9.7595
angles: 90.00 90.00 90.00
Space group Pnma (No. 62)
Unique sites:
Mn  0.0506  0.2500  0.0832 [4 per cell]
Mn  0.0736  0.5093  0.3103 [8 per cell]
Mn  0.0895  0.7500  0.5238 [4 per cell]
Mn  0.1914  0.7500  0.7508 [4 per cell]
Ru  0.1339  0.2500  0.8500 [4 per cell]
W  0.2478  0.7500  0.0632 [4 per cell]

---

Starting from DFT lattice parameters and positions (GGA-PBE), the powder X-ray diffraction pattern of Y5Al2Sb was calculated for a wavelength of 1.5418 Å.
Intensities are scaled so that the largest is 100.

The 6 most intense peaks (15° ≤ 2θ ≤ 90°), in order of rising 2θ:
- hkl 2 1 1, 3.464 Å, 2θ 25.72, rel. 32.8
- hkl 1 1 4, 2.904 Å, 2θ 30.79, rel. 46.2
- hkl 2 1 3, 2.806 Å, 2θ 31.90, rel. 100.0
- hkl 2 0 4, 2.585 Å, 2θ 34.71, rel. 55.5
- hkl 3 1 0, 2.534 Å, 2θ 35.42, rel. 79.0
- hkl 3 3 4, 1.649 Å, 2θ 55.74, rel. 27.0

Structural model:
abc: 8.0130 8.0130 13.5296
angles: 90.00 90.00 90.00
Space group I4/mcm (No. 140)
Unique sites:
Y  0.0000  0.0000  0.0000 [4 per cell]
Y  0.1623  0.3377  0.1465 [16 per cell]
Al  0.1288  0.3712  0.5000 [8 per cell]
Sb  0.0000  0.0000  0.2500 [4 per cell]

---

Starting from DFT lattice parameters and positions (GGA-PBE), the powder X-ray diffraction pattern of KInAgTe2 was calculated for a wavelength of 1.5418 Å.
Intensities are scaled so that the largest is 100.

The 6 most intense peaks (15° ≤ 2θ ≤ 90°), in order of rising 2θ:
- hkl 1 1 -1, 4.124 Å, 2θ 21.55, rel. 48.8
- hkl 2 1 -1, 3.150 Å, 2θ 28.33, rel. 96.8
- hkl 0 1 2, 2.971 Å, 2θ 30.07, rel. 53.2
- hkl 2 1 1, 2.827 Å, 2θ 31.65, rel. 100.0
- hkl 1 1 2, 2.662 Å, 2θ 33.67, rel. 53.4
- hkl 2 2 0, 2.400 Å, 2θ 37.48, rel. 52.4

Structural model:
abc: 8.0122 6.0394 6.9255
angles: 90.00 99.37 90.00
Space group P2/c (No. 13)
Unique sites:
K  0.0000  0.2324  0.2500 [2 per cell]
In  0.5000  0.3952  0.2500 [2 per cell]
Ag  0.5000  0.0000  0.0000 [2 per cell]
Te  0.2486  0.2762  0.8387 [4 per cell]

---

Starting from DFT lattice parameters and positions (GGA-PBE), the powder X-ray diffraction pattern of ScPPd6 was calculated for a wavelength of 1.5418 Å.
Intensities are scaled so that the largest is 100.

The 6 most intense peaks (15° ≤ 2θ ≤ 90°), in order of rising 2θ:
- hkl 0 2 1, 3.157 Å, 2θ 28.27, rel. 51.0
- hkl 2 1 1, 2.485 Å, 2θ 36.14, rel. 100.0
- hkl 0 0 3, 2.471 Å, 2θ 36.36, rel. 52.6
- hkl 1 2 2, 2.149 Å, 2θ 42.04, rel. 87.8
- hkl 2 2 0, 2.015 Å, 2θ 44.99, rel. 30.7
- hkl 2 1 4, 1.516 Å, 2θ 61.11, rel. 28.0

Structural model:
abc: 8.0591 8.0591 7.4131
angles: 90.00 90.00 120.00
Space group R-3m (No. 166, hexagonal axes)
Unique sites:
Sc  0.0000  0.0000  0.0000 [3 per cell]
P  0.0000  0.0000  0.5000 [3 per cell]
Pd  0.0700  0.5350  0.3342 [18 per cell]

---

What did the second record say?
Starting from DFT lattice parameters and positions (GGA-PBE), the powder X-ray diffraction pattern of Y5Al2Sb was calculated for a wavelength of 1.5418 Å.
Intensities are scaled so that the largest is 100.

The 6 most intense peaks (15° ≤ 2θ ≤ 90°), in order of rising 2θ:
- hkl 2 1 1, 3.464 Å, 2θ 25.72, rel. 32.8
- hkl 1 1 4, 2.904 Å, 2θ 30.79, rel. 46.2
- hkl 2 1 3, 2.806 Å, 2θ 31.90, rel. 100.0
- hkl 2 0 4, 2.585 Å, 2θ 34.71, rel. 55.5
- hkl 3 1 0, 2.534 Å, 2θ 35.42, rel. 79.0
- hkl 3 3 4, 1.649 Å, 2θ 55.74, rel. 27.0

Structural model:
abc: 8.0130 8.0130 13.5296
angles: 90.00 90.00 90.00
Space group I4/mcm (No. 140)
Unique sites:
Y  0.0000  0.0000  0.0000 [4 per cell]
Y  0.1623  0.3377  0.1465 [16 per cell]
Al  0.1288  0.3712  0.5000 [8 per cell]
Sb  0.0000  0.0000  0.2500 [4 per cell]